Computed powder diffractogram of PmSiBr for Cu Kα, from a DFT-relaxed cell (GGA-PBE, OQMD).
Peak positions follow from Bragg's law for the DFT cell and can differ from measured ones.

The 10 most intense peaks (2θ = 10–80°), by angle:
2theta  Rel. int.  (hkl)
15.35  62  0 0 2
25.04  59  1 1 0
26.02  47  2 0 -1
26.32  70  1 1 1
29.69  71  1 1 2
33.85  51  2 0 -3
34.09  79  1 1 -3
34.58  79  1 1 3
34.83  44  2 0 3
44.11  100  0 2 0

Structural model:
a b c (Å): 7.1130 4.1070 11.5478
angles (deg): 90.00 91.59 90.00
Fractional coordinates of all 12 atoms:
Pm: 0.0077 0.0000 0.1717
Pm: 0.4923 0.5000 0.8283
Pm: 0.5077 0.5000 0.1717
Pm: 0.9923 0.0000 0.8283
Si: 0.1664 0.5000 0.9930
Si: 0.3336 0.0000 0.0070
Si: 0.6664 0.0000 0.9930
Si: 0.8336 0.5000 0.0070
Br: 0.1817 0.5000 0.3338
Br: 0.3183 0.0000 0.6662
Br: 0.6817 0.0000 0.3338
Br: 0.8183 0.5000 0.6662